For Tb4Pt3Au, a structure optimized by DFT (PBE) gives the theoretical powder XRD pattern in this record (Cu Kα (λ = 1.5418 Å)).

Structural model:
a = 3.7786 Å, b = 4.5695 Å, c = 10.6538 Å
α = 90.00°, β = 90.00°, γ = 90.00°
Sites, in units of the cell vectors:
Tb  0.0000  0.0000  0.0000
Tb  0.0000  0.5000  0.2676
Tb  0.5000  0.0000  0.4860
Tb  0.5000  0.5000  0.7699
Pt  0.0000  0.5000  0.5425
Pt  0.5000  0.0000  0.2182
Pt  0.5000  0.5000  0.0407
Au  0.0000  0.0000  0.7173

The 10 most intense peaks (2θ from 10° to 90°), low angle first:
d = 2.809 Å, I = 1000; d = 2.663 Å, I = 307; d = 2.301 Å, I = 245; d = 2.285 Å, I = 353; d = 2.252 Å, I = 823; d = 1.889 Å, I = 200; d = 1.734 Å, I = 173; d = 1.456 Å, I = 173; d = 1.313 Å, I = 149; d = 1.278 Å, I = 197

---

For TbTmPtAu, a structure optimized by DFT (PBE) gives the theoretical powder XRD pattern in this record (Cu Kα (λ = 1.5418 Å)).

Structural model:
a = 4.5865 Å, b = 5.6444 Å, c = 5.6444 Å
α = 38.73°, β = 90.00°, γ = 90.00°
Sites, in units of the cell vectors:
Tb  0.0000  0.0000  0.0000
Tm  0.5000  0.2764  0.2764
Pt  0.0000  0.7292  0.7292
Au  0.5000  0.5523  0.5523

The 10 most intense peaks (2θ from 10° to 90°), low angle first:
d = 2.798 Å, I = 1000; d = 2.662 Å, I = 314; d = 2.303 Å, I = 245; d = 2.293 Å, I = 358; d = 2.246 Å, I = 811; d = 1.872 Å, I = 195; d = 1.738 Å, I = 179; d = 1.450 Å, I = 171; d = 1.403 Å, I = 139; d = 1.315 Å, I = 149